(1)
Diffraction record for NaSiSe3. The powder XRD pattern is simulated, not measured: it uses DFT lattice parameters and positions (GGA-PBE) and Cu Kα, 1.54184 Å.

The 12 most intense peaks (2θ = 10–90°), by angle:
6.193 Å, intensity 50
3.097 Å, intensity 100
2.342 Å, intensity 29
2.190 Å, intensity 49
2.064 Å, intensity 13
1.868 Å, intensity 8
1.789 Å, intensity 16
1.718 Å, intensity 9
1.549 Å, intensity 33
1.385 Å, intensity 23
1.171 Å, intensity 13
1.095 Å, intensity 21

```
data_NaSiSe3
_space_group_name_H-M_alt 'P 1'
_space_group_IT_number 1
_cell_length_a 7.151
_cell_length_b 7.151
_cell_length_c 6.198
_cell_angle_alpha 90.00
_cell_angle_beta 90.00
_cell_angle_gamma 120.00
loop_
_space_group_symop_operation_xyz
'x,y,z'
loop_
_atom_site_label
_atom_site_type_symbol
_atom_site_fract_x
_atom_site_fract_y
_atom_site_fract_z
Na1 Na 0.333 0.667 0.250
Na2 Na 0.667 0.333 0.750
Si1 Si 0.000 0.000 0.250
Si2 Si 0.000 0.000 0.750
Se1 Se 0.000 0.265 0.500
Se2 Se 0.000 0.735 0.000
Se3 Se 0.265 0.000 0.500
Se4 Se 0.265 0.265 0.000
Se5 Se 0.735 0.000 0.000
Se6 Se 0.735 0.735 0.500
```

***

(2)
Diffraction record for Na3SiSe4. The powder XRD pattern is simulated, not measured: it uses DFT lattice parameters and positions (GGA-PBE) and Cu Kα, 1.54184 Å.

The 12 most intense peaks (2θ = 10–90°), by angle:
5.444 Å, intensity 61
4.015 Å, intensity 70
3.065 Å, intensity 87
3.026 Å, intensity 40
3.009 Å, intensity 39
2.745 Å, intensity 52
2.682 Å, intensity 100
2.574 Å, intensity 31
2.394 Å, intensity 36
2.301 Å, intensity 61
1.791 Å, intensity 37
1.734 Å, intensity 39

```
data_Na3SiSe4
_space_group_name_H-M_alt 'P 1'
_space_group_IT_number 1
_cell_length_a 8.592
_cell_length_b 10.298
_cell_length_c 9.637
_cell_angle_alpha 90.00
_cell_angle_beta 90.00
_cell_angle_gamma 90.00
loop_
_space_group_symop_operation_xyz
'x,y,z'
loop_
_atom_site_label
_atom_site_type_symbol
_atom_site_fract_x
_atom_site_fract_y
_atom_site_fract_z
Na1 Na 0.094 0.045 0.226
Na2 Na 0.094 0.455 0.226
Na3 Na 0.140 0.750 0.434
Na4 Na 0.360 0.250 0.934
Na5 Na 0.406 0.545 0.726
Na6 Na 0.406 0.955 0.726
Na7 Na 0.594 0.045 0.274
Na8 Na 0.594 0.455 0.274
Na9 Na 0.640 0.750 0.066
Na10 Na 0.860 0.250 0.566
Na11 Na 0.906 0.545 0.774
Na12 Na 0.906 0.955 0.774
Si1 Si 0.202 0.750 0.985
Si2 Si 0.298 0.250 0.485
Si3 Si 0.702 0.750 0.515
Si4 Si 0.798 0.250 0.015
Se1 Se 0.000 0.250 0.861
Se2 Se 0.000 0.750 0.139
Se3 Se 0.139 0.750 0.756
Se4 Se 0.163 0.064 0.539
Se5 Se 0.163 0.436 0.539
Se6 Se 0.337 0.564 0.039
Se7 Se 0.337 0.936 0.039
Se8 Se 0.361 0.250 0.256
Se9 Se 0.500 0.250 0.639
Se10 Se 0.500 0.750 0.361
Se11 Se 0.639 0.750 0.744
Se12 Se 0.663 0.064 0.961
Se13 Se 0.663 0.436 0.961
Se14 Se 0.837 0.564 0.461
Se15 Se 0.837 0.936 0.461
Se16 Se 0.861 0.250 0.244
```

***

(3)
Diffraction record for Na9SmSi4Se12. The powder XRD pattern is simulated, not measured: it uses DFT lattice parameters and positions (GGA-PBE) and Cu Kα, 1.54184 Å.

The 12 most intense peaks (2θ = 10–90°), by angle:
7.645 Å, intensity 9
3.823 Å, intensity 20
3.380 Å, intensity 26
3.018 Å, intensity 51
3.007 Å, intensity 100
2.227 Å, intensity 51
2.042 Å, intensity 51
1.911 Å, intensity 11
1.800 Å, intensity 9
1.690 Å, intensity 24
1.328 Å, intensity 8
1.301 Å, intensity 12

```
data_Na9SmSi4Se12
_space_group_name_H-M_alt 'P 1'
_space_group_IT_number 1
_cell_length_a 9.861
_cell_length_b 9.861
_cell_length_c 7.081
_cell_angle_alpha 96.71
_cell_angle_beta 96.71
_cell_angle_gamma 76.73
loop_
_space_group_symop_operation_xyz
'x,y,z'
loop_
_atom_site_label
_atom_site_type_symbol
_atom_site_fract_x
_atom_site_fract_y
_atom_site_fract_z
Na1 Na 0.000 0.000 0.000
Na2 Na 0.097 0.397 0.250
Na3 Na 0.256 0.243 0.750
Na4 Na 0.427 0.078 0.257
Na5 Na 0.522 0.478 0.500
Na6 Na 0.603 0.903 0.750
Na7 Na 0.757 0.744 0.250
Na8 Na 0.843 0.157 0.500
Na9 Na 0.922 0.573 0.743
Sm1 Sm 0.344 0.656 0.000
Si1 Si 0.100 0.748 0.479
Si2 Si 0.252 0.900 0.521
Si3 Si 0.604 0.243 0.968
Si4 Si 0.757 0.396 0.032
Se1 Se 0.068 0.695 0.151
Se2 Se 0.148 0.103 0.391
Se3 Se 0.216 0.550 0.627
Se4 Se 0.305 0.932 0.849
Se5 Se 0.399 0.365 0.106
Se6 Se 0.450 0.784 0.373
Se7 Se 0.554 0.197 0.648
Se8 Se 0.635 0.601 0.894
Se9 Se 0.703 0.045 0.117
Se10 Se 0.803 0.446 0.352
Se11 Se 0.897 0.852 0.609
Se12 Se 0.955 0.297 0.883
```

***

(4)
Diffraction record for NaSm3Se4. The powder XRD pattern is simulated, not measured: it uses DFT lattice parameters and positions (GGA-PBE) and Cu Kα, 1.54184 Å.

The 12 most intense peaks (2θ = 10–90°), by angle:
6.859 Å, intensity 12
3.563 Å, intensity 8
2.959 Å, intensity 100
2.105 Å, intensity 13
2.092 Å, intensity 50
2.081 Å, intensity 12
1.715 Å, intensity 13
1.702 Å, intensity 13
1.479 Å, intensity 12
1.323 Å, intensity 22
1.213 Å, intensity 8
1.204 Å, intensity 8

```
data_NaSm3Se4
_space_group_name_H-M_alt 'P 1'
_space_group_IT_number 1
_cell_length_a 7.259
_cell_length_b 7.259
_cell_length_c 4.162
_cell_angle_alpha 90.00
_cell_angle_beta 90.00
_cell_angle_gamma 109.12
loop_
_space_group_symop_operation_xyz
'x,y,z'
loop_
_atom_site_label
_atom_site_type_symbol
_atom_site_fract_x
_atom_site_fract_y
_atom_site_fract_z
Na1 Na 0.000 0.000 0.000
Sm1 Sm 0.000 0.500 0.500
Sm2 Sm 0.500 0.000 0.500
Sm3 Sm 0.500 0.500 0.000
Se1 Se 0.249 0.751 0.000
Se2 Se 0.251 0.251 0.500
Se3 Se 0.749 0.749 0.500
Se4 Se 0.751 0.249 0.000
```

***

(5)
Diffraction record for NaSm8Se12. The powder XRD pattern is simulated, not measured: it uses DFT lattice parameters and positions (GGA-PBE) and Cu Kα, 1.54184 Å.

The 12 most intense peaks (2θ = 10–90°), by angle:
3.619 Å, intensity 35
2.811 Å, intensity 47
2.799 Å, intensity 100
2.371 Å, intensity 62
2.366 Å, intensity 33
1.980 Å, intensity 23
1.890 Å, intensity 23
1.808 Å, intensity 11
1.737 Å, intensity 17
1.436 Å, intensity 29
1.369 Å, intensity 13
1.205 Å, intensity 16

```
data_NaSm8Se12
_space_group_name_H-M_alt 'P 1'
_space_group_IT_number 1
_cell_length_a 14.735
_cell_length_b 14.735
_cell_length_c 14.735
_cell_angle_alpha 145.05
_cell_angle_beta 145.05
_cell_angle_gamma 50.26
loop_
_space_group_symop_operation_xyz
'x,y,z'
loop_
_atom_site_label
_atom_site_type_symbol
_atom_site_fract_x
_atom_site_fract_y
_atom_site_fract_z
Na1 Na 0.000 0.000 0.000
Na2 Na 0.750 0.250 0.500
Sm1 Sm 0.036 0.663 0.119
Sm2 Sm 0.083 0.583 0.500
Sm3 Sm 0.083 0.964 0.627
Sm4 Sm 0.206 0.587 0.873
Sm5 Sm 0.333 0.333 0.000
Sm6 Sm 0.337 0.456 0.373
Sm7 Sm 0.375 0.008 0.133
Sm8 Sm 0.413 0.286 0.619
Sm9 Sm 0.417 0.917 0.500
Sm10 Sm 0.544 0.917 0.881
Sm11 Sm 0.667 0.667 0.000
Sm12 Sm 0.667 0.794 0.381
Sm13 Sm 0.714 0.333 0.127
Sm14 Sm 0.758 0.625 0.633
Sm15 Sm 0.875 0.242 0.867
Sm16 Sm 0.992 0.125 0.367
Se1 Se 0.007 0.612 0.252
Se2 Se 0.031 0.923 0.747
Se3 Se 0.035 0.426 0.753
Se4 Se 0.058 0.311 0.902
Se5 Se 0.061 0.308 0.402
Se6 Se 0.077 0.824 0.109
Se7 Se 0.176 0.285 0.253
Se8 Se 0.245 0.993 0.604
Se9 Se 0.341 0.939 0.247
Se10 Se 0.360 0.755 0.748
Se11 Se 0.362 0.257 0.752
Se12 Se 0.388 0.640 0.396
Se13 Se 0.390 0.638 0.896
Se14 Se 0.409 0.156 0.098
Se15 Se 0.505 0.610 0.248
Se16 Se 0.574 0.327 0.609
Se17 Se 0.673 0.281 0.247
Se18 Se 0.689 0.591 0.747
Se19 Se 0.692 0.094 0.753
Se20 Se 0.715 0.969 0.891
Se21 Se 0.719 0.965 0.391
Se22 Se 0.743 0.495 0.104
Se23 Se 0.844 0.942 0.253
Se24 Se 0.906 0.659 0.598
```

***

(6)
Diffraction record for NaSm2ThSe4. The powder XRD pattern is simulated, not measured: it uses DFT lattice parameters and positions (GGA-PBE) and Cu Kα, 1.54184 Å.

The 12 most intense peaks (2θ = 10–90°), by angle:
6.904 Å, intensity 12
5.911 Å, intensity 9
3.557 Å, intensity 9
2.961 Å, intensity 100
2.113 Å, intensity 13
2.099 Å, intensity 25
2.087 Å, intensity 25
2.080 Å, intensity 12
1.726 Å, intensity 7
1.701 Å, intensity 13
1.482 Å, intensity 8
1.205 Å, intensity 8

```
data_NaSm2ThSe4
_space_group_name_H-M_alt 'P 1'
_space_group_IT_number 1
_cell_length_a 7.237
_cell_length_b 4.160
_cell_length_c 7.296
_cell_angle_alpha 90.00
_cell_angle_beta 108.87
_cell_angle_gamma 90.00
loop_
_space_group_symop_operation_xyz
'x,y,z'
loop_
_atom_site_label
_atom_site_type_symbol
_atom_site_fract_x
_atom_site_fract_y
_atom_site_fract_z
Na1 Na 0.000 0.000 0.000
Sm1 Sm 0.500 0.000 0.500
Sm2 Sm 0.500 0.500 0.000
Th1 Th 0.000 0.500 0.500
Se1 Se 0.249 0.000 0.755
Se2 Se 0.250 0.500 0.250
Se3 Se 0.750 0.500 0.750
Se4 Se 0.751 0.000 0.245
```

***

(7)
Diffraction record for Na3SmY2Se6. The powder XRD pattern is simulated, not measured: it uses DFT lattice parameters and positions (GGA-PBE) and Cu Kα, 1.54184 Å.

The 12 most intense peaks (2θ = 10–90°), by angle:
7.011 Å, intensity 33
3.565 Å, intensity 12
2.980 Å, intensity 100
2.311 Å, intensity 10
2.127 Å, intensity 36
2.089 Å, intensity 36
2.002 Å, intensity 8
1.710 Å, intensity 19
1.490 Å, intensity 11
1.343 Å, intensity 15
1.323 Å, intensity 16
1.213 Å, intensity 11

```
data_Na3SmY2Se6
_space_group_name_H-M_alt 'P 1'
_space_group_IT_number 1
_cell_length_a 7.235
_cell_length_b 7.235
_cell_length_c 7.415
_cell_angle_alpha 99.36
_cell_angle_beta 99.36
_cell_angle_gamma 120.01
loop_
_space_group_symop_operation_xyz
'x,y,z'
loop_
_atom_site_label
_atom_site_type_symbol
_atom_site_fract_x
_atom_site_fract_y
_atom_site_fract_z
Na1 Na 0.000 0.000 0.000
Na2 Na 0.334 0.666 0.000
Na3 Na 0.666 0.334 0.000
Sm1 Sm 0.500 0.500 0.500
Y1 Y 0.167 0.833 0.500
Y2 Y 0.833 0.167 0.500
Se1 Se 0.085 0.423 0.269
Se2 Se 0.239 0.239 0.731
Se3 Se 0.423 0.085 0.269
Se4 Se 0.577 0.915 0.731
Se5 Se 0.761 0.761 0.269
Se6 Se 0.915 0.577 0.731
```

***

(8)
Diffraction record for Na4SmZr3Se8. The powder XRD pattern is simulated, not measured: it uses DFT lattice parameters and positions (GGA-PBE) and Cu Kα, 1.54184 Å.

The 12 most intense peaks (2θ = 10–90°), by angle:
7.156 Å, intensity 39
3.368 Å, intensity 10
2.878 Å, intensity 100
2.280 Å, intensity 11
2.109 Å, intensity 38
1.969 Å, intensity 33
1.898 Å, intensity 8
1.625 Å, intensity 17
1.439 Å, intensity 11
1.324 Å, intensity 15
1.253 Å, intensity 14
1.162 Å, intensity 10

```
data_Na4SmZr3Se8
_space_group_name_H-M_alt 'P 1'
_space_group_IT_number 1
_cell_length_a 8.478
_cell_length_b 8.478
_cell_length_c 8.478
_cell_angle_alpha 55.34
_cell_angle_beta 55.34
_cell_angle_gamma 55.34
loop_
_space_group_symop_operation_xyz
'x,y,z'
loop_
_atom_site_label
_atom_site_type_symbol
_atom_site_fract_x
_atom_site_fract_y
_atom_site_fract_z
Na1 Na 0.000 0.000 0.000
Na2 Na 0.000 0.500 0.500
Na3 Na 0.500 0.000 0.500
Na4 Na 0.500 0.500 0.000
Sm1 Sm 0.500 0.500 0.500
Zr1 Zr 0.000 0.000 0.500
Zr2 Zr 0.000 0.500 0.000
Zr3 Zr 0.500 0.000 0.000
Se1 Se 0.230 0.750 0.750
Se2 Se 0.241 0.241 0.241
Se3 Se 0.250 0.250 0.770
Se4 Se 0.250 0.770 0.250
Se5 Se 0.750 0.230 0.750
Se6 Se 0.750 0.750 0.230
Se7 Se 0.759 0.759 0.759
Se8 Se 0.770 0.250 0.250
```